Simulated powder XRD pattern of SrMoPtO6 for λ = 1.5418 Å (Cu Kα), from a structure optimized by DFT (GGA+U).

Atomic structure:
a = 5.3320 Å, b = 5.3320 Å, c = 5.3519 Å
α = 90.00°, β = 90.00°, γ = 120.00°
Positions (direct):
Sr 0.0000 0.0000 0.0000
Mo 0.3333 0.6667 0.5000
Pt 0.6667 0.3333 0.5000
O 0.0112 0.3815 0.7030
O 0.0112 0.6297 0.2970
O 0.3703 0.3815 0.2970
O 0.3703 0.9888 0.7030
O 0.6185 0.6297 0.7030
O 0.6185 0.9888 0.2970

Peak list (8 most intense, 5 to 70 degrees two-theta, most intense first)
| 2θ/deg | I (rel.) | (hkl) |
| --- | --- | --- |
| 25.48 | 100 | 1 0 1 |
| 48.18 | 49 | 2 -1 2 |
| 33.62 | 43 | 1 1 0 |
| 16.56 | 40 | 0 0 1 |
| 37.70 | 23 | 2 -1 1 |
| 55.37 | 23 | 3 -1 1 |
| 42.65 | 23 | 2 0 1 |
| 19.22 | 17 | 1 0 0 |